This entry pairs a crystal structure of Mn4FeF10 with its simulated powder X-ray diffraction pattern. Radiation: Cu Kα, 1.54184 Å. Structure: a crystal structure in Alexandria, relaxed with GGA+U.
No peak broadening, texture or thermal motion is included.

Crystal structure
Cell lengths 15.775, 15.775, 15.775 Å; angles 13.12, 13.12, 13.12 degrees
Fractional positions:
Mn 0.098 0.098 0.098
Mn 0.301 0.301 0.301
Mn 0.699 0.699 0.699
Mn 0.902 0.902 0.902
Fe 0.500 0.500 0.500
F 0.049 0.049 0.049
F 0.151 0.151 0.151
F 0.252 0.252 0.252
F 0.350 0.350 0.350
F 0.448 0.448 0.448
F 0.552 0.552 0.552
F 0.650 0.650 0.650
F 0.748 0.748 0.748
F 0.849 0.849 0.849
F 0.951 0.951 0.951

Top 6 peaks for 15 to 90 degrees two-theta, low angle first:
2θ (°)  Rel. int.
28.54  40
30.17  100
48.55  66
50.65  59
59.16  27
72.78  16

=====

This entry pairs a crystal structure of Mn2FeF8 with its simulated powder X-ray diffraction pattern. Radiation: Cu Kα, 1.54184 Å. Structure: a crystal structure in Alexandria, relaxed with GGA+U.
No peak broadening, texture or thermal motion is included.

Crystal structure
Cell lengths 5.713, 5.713, 4.520 Å; angles 93.81, 93.81, 72.44 degrees
Fractional positions:
Mn 0.129 0.129 0.268
Mn 0.871 0.871 0.732
Fe 0.500 0.500 0.000
F 0.089 0.089 0.751
F 0.183 0.595 0.773
F 0.342 0.342 0.258
F 0.405 0.817 0.227
F 0.595 0.183 0.773
F 0.658 0.658 0.742
F 0.817 0.405 0.227
F 0.911 0.911 0.249

Top 6 peaks for 15 to 90 degrees two-theta, low angle first:
2θ (°)  Rel. int.
26.29  100
26.40  76
26.55  72
39.23  31
42.69  32
46.54  31

=====

This entry pairs a crystal structure of MnFeF4 with its simulated powder X-ray diffraction pattern. Radiation: Cu Kα, 1.54184 Å. Structure: a crystal structure in Alexandria, relaxed with GGA+U.
No peak broadening, texture or thermal motion is included.

Crystal structure
Cell lengths 5.489, 4.903, 5.846 Å; angles 90.00, 90.00, 90.00 degrees
Fractional positions:
Mn 0.000 0.000 0.000
Mn 0.000 0.500 0.500
Fe 0.500 0.000 0.683
Fe 0.500 0.500 0.183
F 0.171 0.222 0.722
F 0.171 0.278 0.222
F 0.336 0.732 0.453
F 0.336 0.768 0.953
F 0.664 0.232 0.953
F 0.664 0.268 0.453
F 0.829 0.722 0.222
F 0.829 0.778 0.722

Top 6 peaks for 15 to 90 degrees two-theta, low angle first:
2θ (°)  Rel. int.
23.68  49
28.80  100
49.88  26
51.42  41
59.61  22
61.30  27

=====

This entry pairs a crystal structure of NaMnFeF6 with its simulated powder X-ray diffraction pattern. Radiation: Cu Kα, 1.54184 Å. Structure: a crystal structure in Alexandria, relaxed with GGA+U.
No peak broadening, texture or thermal motion is included.

Crystal structure
Cell lengths 9.180, 9.180, 5.081 Å; angles 90.00, 90.00, 120.00 degrees
Fractional positions:
Na 0.000 0.628 0.000
Na 0.372 0.372 0.000
Na 0.628 0.000 0.000
Mn 0.000 0.299 0.500
Mn 0.299 0.000 0.500
Mn 0.701 0.701 0.500
Fe 0.000 0.000 0.000
Fe 0.333 0.667 0.499
Fe 0.667 0.333 0.501
F 0.097 0.896 0.223
F 0.104 0.201 0.223
F 0.130 0.536 0.285
F 0.201 0.104 0.777
F 0.227 0.768 0.710
F 0.232 0.459 0.710
F 0.406 0.870 0.285
F 0.459 0.232 0.290
F 0.464 0.594 0.285
F 0.536 0.130 0.715
F 0.541 0.773 0.710
F 0.594 0.464 0.715
F 0.768 0.227 0.290
F 0.773 0.541 0.290
F 0.799 0.903 0.223
F 0.870 0.406 0.715
F 0.896 0.097 0.777
F 0.903 0.799 0.777

Top 6 peaks for 15 to 90 degrees two-theta, low angle first:
2θ (°)  Rel. int.
19.34  46
20.75  57
26.16  96
28.51  56
38.31  75
49.72  100